[1]
Structure and theoretical powder XRD pattern of Zr5Si4 (the GGA-PBE geometry in the Materials Project; copper Kα).
Intensities are scaled so that the largest is 100.

Atomic structure:
Cell lengths 7.1597, 7.1597, 13.0656 Å; angles 90.00, 90.00, 90.00 degrees
Space group P4_12_12 (No. 92)
One atom of each set of equivalent atoms:
1 Zr 0.0012 0.1456 0.1268 [8 per cell]
2 Zr 0.0019 0.3508 0.5357 [8 per cell]
3 Zr 0.1758 0.8242 0.2500 [4 per cell]
4 Si 0.0511 0.6993 0.4376 [8 per cell]
5 Si 0.1468 0.2053 0.3226 [8 per cell]

Largest 8 diffraction maxima, in order of rising 2θ, 2θ from 15° to 90°:
two_theta  d (Å)  I (rel.)
28.43  3.139  29
32.62  2.745  36
34.78  2.580  77
36.14  2.485  100
38.78  2.322  72
40.23  2.242  71
58.84  1.569  32
61.89  1.499  26

[2]
Structure and theoretical powder XRD pattern of TmTiClO3 (the GGA-PBE geometry in the Materials Project; copper Kα).
Intensities are scaled so that the largest is 100.

Atomic structure:
Cell lengths 9.8377, 3.8880, 9.7477 Å; angles 90.00, 106.89, 90.00 degrees
Space group C2/m (No. 12)
One atom of each set of equivalent atoms:
1 Tm 0.2233 0.0000 0.2046 [4 per cell]
2 Ti 0.1176 0.5000 0.4268 [4 per cell]
3 Cl 0.1159 0.0000 0.9073 [4 per cell]
4 O 0.0786 0.5000 0.6269 [4 per cell]
5 O 0.1521 0.5000 0.2473 [4 per cell]
6 O 0.1676 0.0000 0.4320 [4 per cell]

Largest 8 diffraction maxima, in order of rising 2θ, 2θ from 15° to 90°:
two_theta  d (Å)  I (rel.)
18.85  4.707  65
19.03  4.664  28
25.56  3.485  100
30.66  2.916  26
35.85  2.505  51
36.04  2.492  28
37.75  2.383  23
46.73  1.944  22

[3]
Structure and theoretical powder XRD pattern of Ca3Y2N4 (the GGA-PBE geometry in the Materials Project; copper Kα).
Intensities are scaled so that the largest is 100.

Atomic structure:
Cell lengths 10.1397, 8.5397, 7.1433 Å; angles 90.00, 90.01, 90.00 degrees
Space group C2/c (No. 15)
One atom of each set of equivalent atoms:
1 Ca 0.0000 0.1512 0.2500 [4 per cell]
2 Ca 0.1336 0.3964 0.4518 [8 per cell]
3 Y 0.1424 0.1395 0.8881 [8 per cell]
4 N 0.1181 0.1043 0.5661 [8 per cell]
5 N 0.1283 0.3504 0.0953 [8 per cell]

Largest 8 diffraction maxima, in order of rising 2θ, 2θ from 15° to 90°:
two_theta  d (Å)  I (rel.)
24.29  3.665  45
30.09  2.970  100
30.62  2.920  52
31.09  2.877  29
35.41  2.535  34
42.34  2.135  31
43.40  2.085  51
43.52  2.080  51

[4]
Structure and theoretical powder XRD pattern of Ti3H2O7 (the GGA-PBE geometry in the Materials Project; copper Kα).
Intensities are scaled so that the largest is 100.

Atomic structure:
Cell lengths 3.7743, 8.3828, 9.4562 Å; angles 100.53, 90.01, 102.12 degrees
Space group P1 (No. 1)
One atom of each set of equivalent atoms:
1 Ti 0.0000 0.0000 0.0000 [1 per cell]
2 Ti 0.0286 0.0686 0.6958 [1 per cell]
3 Ti 0.3242 0.6305 0.3397 [1 per cell]
4 Ti 0.3572 0.6969 0.0355 [1 per cell]
5 Ti 0.3946 0.7758 0.7261 [1 per cell]
6 Ti 0.9617 0.9217 0.3092 [1 per cell]
7 H 0.0954 0.3504 0.5839 [1 per cell]
8 H 0.1715 0.2710 0.2869 [1 per cell]
9 H 0.1931 0.4219 0.7534 [1 per cell]
10 H 0.4450 0.3530 0.4223 [1 per cell]
11 O 0.0201 0.0423 0.4820 [1 per cell]
12 O 0.0436 0.0916 0.1939 [1 per cell]
13 O 0.0795 0.1614 0.8919 [1 per cell]
14 O 0.1255 0.3174 0.6764 [1 per cell]
15 O 0.2468 0.3737 0.3671 [1 per cell]
16 O 0.2744 0.5353 0.1453 [1 per cell]
17 O 0.3117 0.6064 0.8434 [1 per cell]
18 O 0.3384 0.6537 0.5536 [1 per cell]
19 O 0.4301 0.8521 0.2770 [1 per cell]
20 O 0.4672 0.9307 0.9731 [1 per cell]
21 O 0.5039 0.0113 0.6826 [1 per cell]
22 O 0.8516 0.6829 0.3535 [1 per cell]
23 O 0.8898 0.7670 0.0651 [1 per cell]
24 O 0.9260 0.8444 0.7597 [1 per cell]

Largest 8 diffraction maxima, in order of rising 2θ, 2θ from 15° to 90°:
two_theta  d (Å)  I (rel.)
15.86  5.589  80
24.14  3.687  86
24.31  3.661  100
28.70  3.110  61
28.84  3.096  97
29.14  3.065  53
32.90  2.722  54
48.23  1.887  70

[5]
Structure and theoretical powder XRD pattern of Li3Nb6O11 (the GGA-PBE geometry in the Materials Project; copper Kα).
Intensities are scaled so that the largest is 100.

Atomic structure:
Cell lengths 6.0581, 6.0581, 7.5624 Å; angles 90.00, 90.00, 120.00 degrees
Space group P-3m1 (No. 164)
One atom of each set of equivalent atoms:
1 Li 0.0000 0.0000 0.0000 [1 per cell]
2 Li 0.3333 0.6667 0.0784 [2 per cell]
3 Nb 0.1591 0.3182 0.6641 [6 per cell]
4 O 0.0000 0.5000 0.5000 [3 per cell]
5 O 0.1593 0.3187 0.1851 [6 per cell]
6 O 0.3333 0.6667 0.8164 [2 per cell]

Largest 8 diffraction maxima, in order of rising 2θ, 2θ from 15° to 90°:
two_theta  d (Å)  I (rel.)
16.90  5.246  23
20.60  4.311  38
23.53  3.781  24
34.18  2.623  26
36.25  2.478  54
41.92  2.155  100
60.35  1.534  33
61.20  1.514  27

[6]
Structure and theoretical powder XRD pattern of TlC2O2 (the GGA-PBE geometry in the Materials Project; copper Kα).
Intensities are scaled so that the largest is 100.

Atomic structure:
Cell lengths 6.4044, 7.5204, 14.8953 Å; angles 90.00, 90.00, 90.00 degrees
Space group P2_12_12_1 (No. 19)
One atom of each set of equivalent atoms:
1 Tl 0.0386 0.1125 0.3456 [4 per cell]
2 Tl 0.0940 0.5999 0.4599 [4 per cell]
3 C 0.0013 0.6246 0.7691 [4 per cell]
4 C 0.0388 0.1153 0.6507 [4 per cell]
5 C 0.0386 0.6308 0.6732 [4 per cell]
6 C 0.0940 0.1074 0.5562 [4 per cell]
7 O 0.0190 0.9778 0.5110 [4 per cell]
8 O 0.1215 0.1113 0.8769 [4 per cell]
9 O 0.2105 0.2294 0.5255 [4 per cell]
10 O 0.2246 0.6531 0.6458 [4 per cell]

Largest 8 diffraction maxima, in order of rising 2θ, 2θ from 15° to 90°:
two_theta  d (Å)  I (rel.)
15.06  5.884  54
21.45  4.143  34
25.61  3.479  71
26.71  3.337  43
27.51  3.243  100
28.51  3.131  35
30.20  2.959  35
45.86  1.979  30

Copy entry 2 word for word.
Structure and theoretical powder XRD pattern of TmTiClO3 (the GGA-PBE geometry in the Materials Project; copper Kα).
Intensities are scaled so that the largest is 100.

Atomic structure:
Cell lengths 9.8377, 3.8880, 9.7477 Å; angles 90.00, 106.89, 90.00 degrees
Space group C2/m (No. 12)
One atom of each set of equivalent atoms:
1 Tm 0.2233 0.0000 0.2046 [4 per cell]
2 Ti 0.1176 0.5000 0.4268 [4 per cell]
3 Cl 0.1159 0.0000 0.9073 [4 per cell]
4 O 0.0786 0.5000 0.6269 [4 per cell]
5 O 0.1521 0.5000 0.2473 [4 per cell]
6 O 0.1676 0.0000 0.4320 [4 per cell]

Largest 8 diffraction maxima, in order of rising 2θ, 2θ from 15° to 90°:
two_theta  d (Å)  I (rel.)
18.85  4.707  65
19.03  4.664  28
25.56  3.485  100
30.66  2.916  26
35.85  2.505  51
36.04  2.492  28
37.75  2.383  23
46.73  1.944  22